Starting from a GGA-PBE-relaxed structure, the PXRD pattern of KRbMg14O15 was simulated for Cu Kα (weighted mean of Kα1 and Kα2).
Neutral-atom scattering factors, no anomalous dispersion.

Most intense lines, 2θ from 10° to 80°, low angle first:
- hkl 0 0 1, 10.3°, I = 24
- hkl 1 2 2, 35.2°, I = 41
- hkl 2 0 0, 40.2°, I = 100
- hkl 0 4 0, 40.3°, I = 92
- hkl 0 0 4, 42.0°, I = 58
- hkl 2 4 0, 58.3°, I = 58
- hkl 2 0 4, 59.6°, I = 52
- hkl 2 4 4, 74.4°, I = 24

Structural model:
```
data_KRbMg14O15
_chemical_formula_sum 'K1 Rb1 Mg14 O15'
_cell_length_a 4.484
_cell_length_b 8.941
_cell_length_c 8.602
_cell_angle_alpha 90.00
_cell_angle_beta 90.00
_cell_angle_gamma 90.00
_symmetry_space_group_name_H-M 'P m m 2'
_symmetry_Int_Tables_number 25
_symmetry_space_group_name_Hall 'P 2 -2'
loop_
_atom_site_label
_atom_site_type_symbol
_atom_site_fract_x
_atom_site_fract_y
_atom_site_fract_z
K1 K 0.000 0.000 0.000
Rb1 Rb 0.000 0.500 0.872
Mg1 Mg 0.000 0.000 0.486
Mg2 Mg 0.000 0.216 0.742
Mg3 Mg 0.000 0.261 0.224
Mg4 Mg 0.000 0.500 0.464
Mg5 Mg 0.500 0.000 0.242
Mg6 Mg 0.500 0.000 0.736
Mg7 Mg 0.500 0.249 0.987
Mg8 Mg 0.500 0.255 0.487
Mg9 Mg 0.500 0.500 0.213
Mg10 Mg 0.500 0.500 0.729
O1 O 0.000 0.000 0.268
O2 O 0.000 0.000 0.711
O3 O 0.000 0.259 0.983
O4 O 0.000 0.270 0.505
O5 O 0.000 0.500 0.241
O6 O 0.500 0.000 0.492
O7 O 0.500 0.000 0.971
O8 O 0.500 0.253 0.238
O9 O 0.500 0.260 0.736
O10 O 0.500 0.500 0.498
O11 O 0.500 0.500 0.978
```



Starting from a GGA-PBE-relaxed structure, the PXRD pattern of KRbMg14O15 was simulated for Cu Kα (weighted mean of Kα1 and Kα2).
Neutral-atom scattering factors, no anomalous dispersion.

Most intense lines, 2θ from 10° to 80°, low angle first:
- hkl 0 2 2, 26.9°, I = 30
- hkl 1 0 2, 27.4°, I = 33
- hkl 0 0 4, 34.4°, I = 28
- hkl 1 2 2, 34.6°, I = 70
- hkl 1 1 3, 35.2°, I = 26
- hkl 0 4 0, 42.1°, I = 83
- hkl 2 0 0, 43.4°, I = 100
- hkl 2 4 0, 62.1°, I = 51

Structural model:
```
data_KRbMg14O15
_chemical_formula_sum 'K1 Rb1 Mg14 O15'
_cell_length_a 4.169
_cell_length_b 8.576
_cell_length_c 10.424
_cell_angle_alpha 90.00
_cell_angle_beta 90.00
_cell_angle_gamma 90.00
_symmetry_space_group_name_H-M 'P m m 2'
_symmetry_Int_Tables_number 25
_symmetry_space_group_name_Hall 'P 2 -2'
loop_
_atom_site_label
_atom_site_type_symbol
_atom_site_fract_x
_atom_site_fract_y
_atom_site_fract_z
K1 K 0.000 0.000 0.000
Rb1 Rb 0.000 0.500 0.532
Mg1 Mg 0.000 0.000 0.564
Mg2 Mg 0.000 0.244 0.275
Mg3 Mg 0.000 0.276 0.859
Mg4 Mg 0.000 0.500 0.076
Mg5 Mg 0.500 0.000 0.311
Mg6 Mg 0.500 0.000 0.788
Mg7 Mg 0.500 0.234 0.085
Mg8 Mg 0.500 0.261 0.659
Mg9 Mg 0.500 0.500 0.266
Mg10 Mg 0.500 0.500 0.869
O1 O 0.000 0.000 0.362
O2 O 0.000 0.206 0.674
O3 O 0.000 0.264 0.073
O4 O 0.000 0.500 0.277
O5 O 0.000 0.500 0.878
O6 O 0.500 0.000 0.119
O7 O 0.500 0.000 0.601
O8 O 0.500 0.214 0.864
O9 O 0.500 0.258 0.294
O10 O 0.500 0.500 0.068
O11 O 0.500 0.500 0.676
```



Starting from a GGA-PBE-relaxed structure, the PXRD pattern of KRbMg14O15 was simulated for Cu Kα (weighted mean of Kα1 and Kα2).
Neutral-atom scattering factors, no anomalous dispersion.

Most intense lines, 2θ from 10° to 80°, low angle first:
- hkl 1 2 2, 35.0°, I = 92
- hkl 1 1 3, 36.6°, I = 31
- hkl 0 0 4, 37.4°, I = 45
- hkl 1 3 1, 39.0°, I = 23
- hkl 0 4 0, 42.1°, I = 79
- hkl 2 0 0, 42.4°, I = 100
- hkl 2 0 4, 57.8°, I = 32
- hkl 2 4 0, 61.3°, I = 49

Structural model:
```
data_KRbMg14O15
_chemical_formula_sum 'K1 Rb1 Mg14 O15'
_cell_length_a 4.265
_cell_length_b 8.589
_cell_length_c 9.614
_cell_angle_alpha 90.00
_cell_angle_beta 90.00
_cell_angle_gamma 90.00
_symmetry_space_group_name_H-M 'P m m 2'
_symmetry_Int_Tables_number 25
_symmetry_space_group_name_Hall 'P 2 -2'
loop_
_atom_site_label
_atom_site_type_symbol
_atom_site_fract_x
_atom_site_fract_y
_atom_site_fract_z
K1 K 0.000 0.000 0.000
Rb1 Rb 0.000 0.500 0.562
Mg1 Mg 0.000 0.000 0.467
Mg2 Mg 0.000 0.221 0.714
Mg3 Mg 0.000 0.256 0.251
Mg4 Mg 0.000 0.500 0.997
Mg5 Mg 0.500 0.000 0.255
Mg6 Mg 0.500 0.000 0.696
Mg7 Mg 0.500 0.241 0.962
Mg8 Mg 0.500 0.264 0.470
Mg9 Mg 0.500 0.500 0.214
Mg10 Mg 0.500 0.500 0.776
O1 O 0.000 0.000 0.254
O2 O 0.000 0.000 0.683
O3 O 0.000 0.234 0.464
O4 O 0.000 0.291 0.909
O5 O 0.000 0.500 0.200
O6 O 0.500 0.000 0.473
O7 O 0.500 0.000 0.901
O8 O 0.500 0.236 0.194
O9 O 0.500 0.284 0.693
O10 O 0.500 0.500 0.422
O11 O 0.500 0.500 0.978
```



Starting from a GGA-PBE-relaxed structure, the PXRD pattern of KRbMg14O15 was simulated for Cu Kα (weighted mean of Kα1 and Kα2).
Neutral-atom scattering factors, no anomalous dispersion.

Most intense lines, 2θ from 10° to 80°, low angle first:
- hkl 1 1 2, 30.2°, I = 27
- hkl 1 2 2, 34.9°, I = 39
- hkl 0 0 4, 39.7°, I = 50
- hkl 0 4 0, 40.3°, I = 84
- hkl 2 0 0, 41.7°, I = 100
- hkl 0 4 4, 57.8°, I = 25
- hkl 2 0 4, 58.9°, I = 35
- hkl 2 4 0, 59.4°, I = 48

Structural model:
```
data_KRbMg14O15
_chemical_formula_sum 'K1 Rb1 Mg14 O15'
_cell_length_a 4.332
_cell_length_b 8.958
_cell_length_c 9.087
_cell_angle_alpha 90.00
_cell_angle_beta 90.00
_cell_angle_gamma 90.00
_symmetry_space_group_name_H-M 'P m m 2'
_symmetry_Int_Tables_number 25
_symmetry_space_group_name_Hall 'P 2 -2'
loop_
_atom_site_label
_atom_site_type_symbol
_atom_site_fract_x
_atom_site_fract_y
_atom_site_fract_z
K1 K 0.000 0.000 0.000
Rb1 Rb 0.000 0.500 0.150
Mg1 Mg 0.000 0.000 0.582
Mg2 Mg 0.000 0.233 0.335
Mg3 Mg 0.000 0.284 0.866
Mg4 Mg 0.000 0.500 0.618
Mg5 Mg 0.500 0.000 0.318
Mg6 Mg 0.500 0.000 0.844
Mg7 Mg 0.500 0.236 0.613
Mg8 Mg 0.500 0.249 0.092
Mg9 Mg 0.500 0.500 0.398
Mg10 Mg 0.500 0.500 0.843
O1 O 0.000 0.000 0.365
O2 O 0.000 0.227 0.635
O3 O 0.000 0.236 0.096
O4 O 0.000 0.500 0.412
O5 O 0.000 0.500 0.831
O6 O 0.500 0.000 0.097
O7 O 0.500 0.000 0.622
O8 O 0.500 0.228 0.854
O9 O 0.500 0.251 0.356
O10 O 0.500 0.500 0.050
O11 O 0.500 0.500 0.621
```



Starting from a GGA-PBE-relaxed structure, the PXRD pattern of K2MgRe2O8 was simulated for Cu Kα (weighted mean of Kα1 and Kα2).
Neutral-atom scattering factors, no anomalous dispersion.

Most intense lines, 2θ from 10° to 80°, low angle first:
- hkl 0 1 0, 15.4°, I = 52
- hkl 1 0 1, 17.3°, I = 30
- hkl 1 -1 1, 25.0°, I = 100
- hkl 0 0 2, 26.4°, I = 22
- hkl 0 2 1, 28.0°, I = 17
- hkl 2 0 3, 42.2°, I = 13
- hkl 2 -2 0, 43.2°, I = 15
- hkl 3 -1 0, 53.4°, I = 11

Structural model:
```
data_K2MgRe2O8
_chemical_formula_sum 'K2 Mg1 Re2 O8'
_cell_length_a 5.545
_cell_length_b 6.379
_cell_length_c 7.959
_cell_angle_alpha 66.61
_cell_angle_beta 69.62
_cell_angle_gamma 89.93
_symmetry_space_group_name_H-M 'P 1'
_symmetry_Int_Tables_number 1
_symmetry_space_group_name_Hall 'P 1'
loop_
_atom_site_label
_atom_site_type_symbol
_atom_site_fract_x
_atom_site_fract_y
_atom_site_fract_z
K1 K 0.000 0.000 0.000
K2 K 0.241 0.739 0.519
Mg1 Mg 0.304 0.303 0.391
Re1 Re 0.517 0.517 0.964
Re2 Re 0.749 0.248 0.502
O1 O 0.296 0.248 0.144
O2 O 0.360 0.719 0.830
O3 O 0.440 0.342 0.598
O4 O 0.558 0.605 0.145
O5 O 0.627 0.110 0.381
O6 O 0.808 0.451 0.828
O7 O 0.963 0.059 0.597
O8 O 0.992 0.506 0.381
```



Starting from a GGA-PBE-relaxed structure, the PXRD pattern of KMgRuO3 was simulated for Cu Kα (weighted mean of Kα1 and Kα2).
Neutral-atom scattering factors, no anomalous dispersion.

Most intense lines, 2θ from 10° to 80°, low angle first:
- hkl 0 0 1, 17.0°, I = 92
- hkl 1 0 1, 27.9°, I = 100
- hkl 1 1 0, 31.3°, I = 84
- hkl 0 0 2, 34.4°, I = 68
- hkl 2 0 0, 44.9°, I = 60
- hkl 1 1 2, 47.2°, I = 52
- hkl 2 0 2, 57.7°, I = 65
- hkl 2 2 2, 76.0°, I = 32

Structural model:
```
data_KMgRuO3
_chemical_formula_sum 'K1 Mg1 Ru1 O3'
_cell_length_a 4.039
_cell_length_b 4.039
_cell_length_c 5.215
_cell_angle_alpha 90.00
_cell_angle_beta 90.00
_cell_angle_gamma 90.00
_symmetry_space_group_name_H-M 'P 4/m m m'
_symmetry_Int_Tables_number 123
_symmetry_space_group_name_Hall '-P 4 2'
loop_
_atom_site_label
_atom_site_type_symbol
_atom_site_fract_x
_atom_site_fract_y
_atom_site_fract_z
K1 K 0.000 0.000 0.000
Mg1 Mg 0.000 0.000 0.500
Ru1 Ru 0.500 0.500 0.500
O1 O 0.000 0.500 0.500
O2 O 0.500 0.500 0.000
```